Diffraction record for Pm5ErSc3. The XRD peak list is computed, not measured: it uses a crystal structure in Alexandria, relaxed with GGA-PBE and Cu Kα, 1.54184 Å.
Neutral-atom scattering factors, no anomalous dispersion.

Main lines, by angle (5 to 70 degrees two-theta):
2theta  I (rel.)
22.7  100
27.3  24
31.4  42
31.7  32
32.0  25
32.1  25
33.2  32
39.2  18
39.3  18
46.3  25

Atomic structure:
```
Pm5ErSc3
1.0
5.6559 -5.6974 0.0000
5.6559 5.6974 0.0000
-3.0389 0.0000 9.7693
Pm Er Sc
10 2 6
Cartesian
3.3616 2.9318 6.4132 Pm
5.6559 2.8999 0.0000 Pm
2.5834 0.0000 0.8302 Pm
1.6480 0.0000 4.1092 Pm
4.9113 2.9318 3.3561 Pm
3.3616 -2.9318 6.4132 Pm
6.6248 0.0000 5.6601 Pm
5.6895 0.0000 8.9391 Pm
5.6559 -2.8999 0.0000 Pm
4.9113 -2.9318 3.3561 Pm
0.5329 0.0000 7.3120 Er
7.7400 0.0000 2.4573 Er
-1.5195 0.0000 4.8847 Sc
-0.4899 0.0000 1.6233 Sc
4.6491 0.0000 3.2052 Sc
5.6559 0.0000 0.0000 Sc
3.6238 0.0000 6.5642 Sc
8.7628 0.0000 8.1460 Sc
```